Li4Co3Sn5O16: calculated powder X-ray diffraction pattern (CuKα), based on a cell relaxed with PBE+U.
No peak broadening, texture or thermal motion is included.

Largest 10 diffraction maxima, in order of rising 2θ, 2θ from 10° to 90°:
2θ/deg	d/Å	I (rel.)
17.96	4.938	46
18.83	4.712	39
19.02	4.667	100
32.12	2.787	36
34.57	2.594	53
35.03	2.561	44
35.16	2.552	31
44.01	2.057	29
58.48	1.578	29
60.32	1.534	32

Atomic structure:
Cell lengths 6.138, 6.138, 9.876 Å; angles 90.59, 90.59, 59.56 degrees
Atoms (fractional coordinates):
Li 0.000 0.000 0.000
Li 0.014 0.014 0.510
Li 0.327 0.327 0.603
Li 0.659 0.659 0.094
Co 0.162 0.162 0.281
Co 0.331 0.823 0.785
Co 0.823 0.331 0.785
Sn 0.160 0.654 0.283
Sn 0.322 0.322 0.003
Sn 0.653 0.653 0.511
Sn 0.654 0.160 0.283
Sn 0.823 0.823 0.780
O 0.002 0.002 0.695
O 0.024 0.482 0.148
O 0.153 0.153 0.892
O 0.156 0.668 0.899
O 0.318 0.826 0.402
O 0.329 0.329 0.396
O 0.478 0.478 0.152
O 0.482 0.024 0.148
O 0.507 0.961 0.653
O 0.511 0.511 0.665
O 0.650 0.650 0.882
O 0.668 0.156 0.899
O 0.826 0.318 0.402
O 0.831 0.831 0.405
O 0.961 0.507 0.653
O 0.992 0.992 0.184